# 1
The following is a calculated XRD peak list of CaZrO3. It was derived from a cell relaxed with PBE, using Cu Kα X-rays.
Intensities are scaled so that the largest is 100.

Peak list (10 most intense, 10 to 90 degrees two-theta, by angle)
21.93°, I 50; 30.65°, I 25; 31.20°, I 100; 31.74°, I 21; 44.71°, I 44; 50.33°, I 17; 54.84°, I 18; 55.19°, I 12; 56.20°, I 26; 65.08°, I 14

Structural model:
Lattice parameters (Å, degrees): 5.833 8.107 5.638 90.00 90.00 90.00
Fractional positions:
Ca 0.051 0.250 0.013
Ca 0.449 0.750 0.513
Ca 0.551 0.250 0.487
Ca 0.949 0.750 0.987
Zr 0.000 0.000 0.500
Zr 0.000 0.500 0.500
Zr 0.500 0.000 0.000
Zr 0.500 0.500 0.000
O 0.043 0.750 0.391
O 0.199 0.558 0.803
O 0.199 0.942 0.803
O 0.301 0.058 0.303
O 0.301 0.442 0.303
O 0.457 0.250 0.891
O 0.543 0.750 0.109
O 0.699 0.558 0.697
O 0.699 0.942 0.697
O 0.801 0.058 0.197
O 0.801 0.442 0.197
O 0.957 0.250 0.609

# 2
The following is a calculated XRD peak list of ReOsRu. It was derived from a cell relaxed with PBE, using Cu Kα X-rays.
Intensities are scaled so that the largest is 100.

Peak list (10 most intense, 10 to 90 degrees two-theta, by angle)
26.07°, I 46; 30.19°, I 6; 43.22°, I 100; 51.17°, I 23; 53.62°, I 2; 62.77°, I 17; 69.16°, I 9; 71.22°, I 2; 79.26°, I 34; 85.15°, I 7

Structural model:
Lattice parameters (Å, degrees): 4.187 4.187 4.187 60.00 60.00 60.00
Fractional positions:
Re 0.000 0.000 0.000
Os 0.250 0.250 0.250
Ru 0.500 0.500 0.500

# 3
The following is a calculated XRD peak list of Hf2TcOs. It was derived from a cell relaxed with PBE, using Cu Kα X-rays.
Intensities are scaled so that the largest is 100.

Peak list (10 most intense, 10 to 90 degrees two-theta, by angle)
23.63°, I 4; 27.35°, I 1; 39.07°, I 100; 46.17°, I 2; 56.45°, I 17; 62.04°, I 1; 70.79°, I 35; 75.80°, I 1; 83.95°, I 11; 88.76°, I 1

Structural model:
Lattice parameters (Å, degrees): 4.611 4.611 4.611 60.00 60.00 60.00
Fractional positions:
Hf 0.250 0.250 0.250
Hf 0.750 0.750 0.750
Tc 0.000 0.000 0.000
Os 0.500 0.500 0.500

# 4
The following is a calculated XRD peak list of TaAsO4. It was derived from a cell relaxed with PBE, using Cu Kα X-rays.
Intensities are scaled so that the largest is 100.

Peak list (10 most intense, 10 to 90 degrees two-theta, by angle)
19.80°, I 99; 23.38°, I 62; 24.36°, I 28; 28.24°, I 100; 29.06°, I 88; 33.23°, I 60; 38.34°, I 30; 46.07°, I 29; 50.44°, I 41; 55.40°, I 27

Structural model:
Lattice parameters (Å, degrees): 7.569 7.569 5.678 90.00 90.00 149.83
Fractional positions:
Ta 0.091 0.909 0.500
Ta 0.909 0.091 0.000
As 0.321 0.679 0.610
As 0.679 0.321 0.110
O 0.017 0.983 0.777
O 0.173 0.827 0.211
O 0.204 0.796 0.698
O 0.392 0.608 0.924
O 0.608 0.392 0.424
O 0.796 0.204 0.198
O 0.827 0.173 0.711
O 0.983 0.017 0.277

# 5
The following is a calculated XRD peak list of KCuIO6. It was derived from a cell relaxed with PBE, using Cu Kα X-rays.
Intensities are scaled so that the largest is 100.

Peak list (10 most intense, 10 to 90 degrees two-theta, by angle)
14.29°, I 100; 19.89°, I 27; 24.58°, I 99; 28.81°, I 14; 34.81°, I 30; 37.80°, I 30; 43.08°, I 15; 45.79°, I 53; 56.53°, I 17; 57.14°, I 14

Structural model:
Lattice parameters (Å, degrees): 5.155 5.155 6.198 90.00 90.00 120.00
Fractional positions:
K 0.000 0.000 0.000
Cu 0.333 0.667 0.500
I 0.667 0.333 0.500
O 0.385 0.010 0.676
O 0.385 0.376 0.324
O 0.624 0.010 0.324
O 0.624 0.615 0.676
O 0.990 0.376 0.676
O 0.990 0.615 0.324